No. 1
Diffraction record for FeB6O6. The powder XRD pattern is simulated, not measured: it uses DFT lattice parameters and positions (GGA+U) and CuKα.
Lines closer than 0.1° are merged.

Atomic structure:
```
FeB6O6
1.0
3.1350 -4.7607 0.0000
3.1350 4.7607 0.0000
-1.8889 0.0000 3.4163
Fe B O
1 6 6
Direct
0.0000 0.0000 0.0000
0.0771 0.5821 0.8573
0.3732 0.3732 0.7182
0.4179 0.9229 0.1427
0.5821 0.0771 0.8573
0.6268 0.6268 0.2818
0.9229 0.4179 0.1427
0.1253 0.3968 0.5294
0.3565 0.3565 0.0776
0.3968 0.1253 0.5294
0.6032 0.8747 0.4706
0.6435 0.6435 0.9224
0.8747 0.6032 0.4706
```

Largest 8 diffraction maxima, by angle, 5 to 70 degrees two-theta:
d_spacing, I (rel.)
4.760, 986
3.574, 269
2.945, 1000
2.776, 525
2.378, 533
1.953, 831
1.797, 508
1.708, 287

No. 2
Diffraction record for Li8Mn5Fe3B8O24. The powder XRD pattern is simulated, not measured: it uses DFT lattice parameters and positions (GGA+U) and CuKα.
Lines closer than 0.1° are merged.

Atomic structure:
```
Li8Mn5Fe3B8O24
1.0
5.2319 0.0000 0.0000
0.0846 6.0432 0.0000
0.3421 2.1860 16.1009
Li Mn Fe B O
8 5 3 8 24
Direct
0.0000 0.0000 0.0000
0.0003 0.4985 0.5004
0.1961 0.3744 0.0317
0.1983 0.8741 0.5325
0.4993 0.2477 0.2513
0.4998 0.7488 0.7500
0.6983 0.1232 0.7813
0.6982 0.6237 0.2834
0.0157 0.5854 0.6825
0.0168 0.0852 0.1825
0.5151 0.3354 0.4323
0.5150 0.8358 0.9315
0.6814 0.5365 0.1020
0.1853 0.7856 0.3524
0.1871 0.2869 0.8521
0.6765 0.0373 0.6029
0.0193 0.2748 0.3437
0.0190 0.7749 0.8437
0.1774 0.0968 0.6893
0.1791 0.5972 0.1908
0.5182 0.0267 0.0932
0.5191 0.5253 0.5936
0.6771 0.3486 0.9382
0.6778 0.8480 0.4395
0.0289 0.7313 0.2374
0.0327 0.2302 0.7381
0.0564 0.9806 0.6335
0.0634 0.4797 0.1337
0.1343 0.8945 0.9000
0.1350 0.3938 0.4001
0.1695 0.1379 0.2982
0.1701 0.6387 0.7981
0.2585 0.0477 0.0795
0.2588 0.5472 0.5799
0.4390 0.5763 0.2042
0.4396 0.0755 0.6997
0.5296 0.4808 0.9857
0.5340 0.9809 0.4878
0.5547 0.7320 0.3831
0.5565 0.2331 0.8810
0.6345 0.1449 0.1498
0.6358 0.6432 0.6501
0.6694 0.3893 0.5479
0.6692 0.8916 0.0471
0.7595 0.2967 0.3300
0.7596 0.7971 0.8295
0.9374 0.3250 0.9499
0.9386 0.8247 0.4501
```

Largest 8 diffraction maxima, by angle, 5 to 70 degrees two-theta:
d_spacing, I (rel.)
4.348, 789
4.025, 342
3.943, 605
2.691, 1000
2.636, 329
2.583, 280
2.251, 256
2.212, 541

No. 3
Diffraction record for Li8FeO5F. The powder XRD pattern is simulated, not measured: it uses DFT lattice parameters and positions (GGA+U) and CuKα.
Lines closer than 0.1° are merged.

Atomic structure:
```
Li8FeO5F
1.0
5.3951 0.0000 0.0000
-2.4653 4.8570 0.0000
-2.5320 -1.3956 5.1740
Li Fe O F
8 1 5 1
Direct
0.0000 0.0000 0.0000
0.0356 0.1700 0.6323
0.1801 0.4495 0.3534
0.4056 0.8874 0.6424
0.5237 0.1285 0.3396
0.5764 0.3297 0.9529
0.6821 0.5493 0.6200
0.8585 0.7500 0.3300
0.2113 0.6025 0.9523
0.1096 0.8766 0.7458
0.1483 0.7564 0.2247
0.4066 0.5541 0.7421
0.4388 0.4228 0.2168
0.7888 0.2553 0.7461
0.8160 0.0836 0.2608
```

Largest 8 diffraction maxima, by angle, 5 to 70 degrees two-theta:
d_spacing, I (rel.)
5.174, 765
4.689, 673
4.510, 705
4.449, 636
4.200, 666
2.551, 1000
2.393, 810
2.345, 690